Calculated powder X-ray diffraction pattern of In2Hg4PCl5 for Cu Kα, 1.54184 Å, from a DFT-relaxed cell (GGA-PBE, Alexandria).
Kinematic intensities with the Lorentz-polarization factor, no thermal factor.

Top 10 peaks for 10° ≤ 2θ ≤ 90°, by angle:
- 2θ = 15.45°, I 49
- 2θ = 23.87°, I 84
- 2θ = 24.30°, I 100
- 2θ = 25.24°, I 86
- 2θ = 31.19°, I 38
- 2θ = 31.56°, I 44
- 2θ = 32.81°, I 67
- 2θ = 40.24°, I 39
- 2θ = 41.56°, I 35
- 2θ = 41.65°, I 53

Structural model:
abc: 8.9547 7.4402 7.4402
angles: 129.58 90.00 90.00
Element x y z (fractional)
In: 0.0000 0.1849 0.8151
In: 0.0000 0.8151 0.1849
Hg: 0.3076 0.4317 0.4317
Hg: 0.5000 0.3374 0.9425
Hg: 0.5000 0.9425 0.3374
Hg: 0.6924 0.4317 0.4317
P: 0.5000 0.1538 0.1538
Cl: 0.0000 0.2573 0.2573
Cl: 0.2469 0.5557 0.8422
Cl: 0.2469 0.8422 0.5557
Cl: 0.7531 0.5557 0.8422
Cl: 0.7531 0.8422 0.5557